[1]
Computed X-ray diffraction stick pattern
Compound: FeCo7Ir2
Radiation: Cu Kα (weighted mean of Kα1 and Kα2)
Structure: a DFT-relaxed cell (GGA-PBE, Alexandria)

Structure:
```
FeCo7Ir2
1.0
4.426 0.000 0.000
0.750 4.369 0.000
2.194 1.861 6.150
Fe Co Ir
1 7 2
Cartesian
0.000 0.000 0.000
2.992 5.465 3.687
3.696 3.853 5.530
2.992 4.739 1.225
3.685 3.115 3.075
4.378 1.491 4.925
3.675 2.377 0.620
4.379 0.765 2.462
1.474 2.720 1.818
5.896 3.510 4.331
```

Main lines, by intensity (2θ = 15–90°):
2theta, I/Imax
43.21, 100
43.29, 96
21.25, 38
50.42, 33
50.12, 32
50.57, 30
29.08, 20
73.93, 19
74.19, 18
22.01, 15

=====

[2]
Computed X-ray diffraction stick pattern
Compound: Hf3As2C
Radiation: Cu Kα (weighted mean of Kα1 and Kα2)
Structure: a DFT-relaxed cell (GGA-PBE, Alexandria)

Structure:
```
Hf3As2C
1.0
3.298 -5.466 0.000
3.298 5.466 0.000
-2.069 0.000 5.839
Hf As C
6 4 2
Cartesian
0.614 2.733 2.919
1.289 0.764 0.007
0.255 -0.764 2.927
1.649 -2.733 0.000
4.272 0.764 2.912
3.238 -0.764 5.832
2.781 2.581 1.460
1.746 0.857 4.379
2.781 -0.857 1.460
1.746 -2.581 4.379
1.746 4.585 4.379
2.781 -4.585 1.460
```

Main lines, by intensity (2θ = 15–90°):
2theta, I/Imax
34.61, 100
34.41, 44
29.92, 37
50.83, 33
48.36, 24
30.62, 21
50.06, 16
49.46, 16
28.72, 15
62.17, 14

=====

[3]
Computed X-ray diffraction stick pattern
Compound: Ho2Be3Cu17
Radiation: Cu Kα (weighted mean of Kα1 and Kα2)
Structure: a DFT-relaxed cell (GGA-PBE, Alexandria)

Structure:
```
Ho2Be3Cu17
1.0
4.492 2.593 4.256
-4.492 2.593 4.256
0.000 -5.187 4.256
Ho Be Cu
2 3 17
Cartesian
0.000 0.000 2.175
0.000 0.000 10.594
-4.492 0.000 6.385
-2.246 1.297 2.128
2.246 1.297 2.128
-2.246 -1.297 4.256
0.000 -2.612 4.241
-2.262 1.306 4.241
-1.214 -2.103 6.385
-2.428 0.000 6.385
-2.262 -1.306 8.528
0.000 0.000 5.144
-2.246 1.297 8.513
1.214 -2.103 6.385
0.000 2.593 4.256
-1.214 2.103 6.385
0.000 0.000 7.625
2.262 1.306 4.241
2.428 0.000 6.385
1.214 2.103 6.385
2.262 -1.306 8.528
0.000 2.612 8.528
```

Main lines, by intensity (2θ = 15–90°):
2theta, I/Imax
40.74, 100
40.15, 89
28.90, 48
42.48, 45
34.59, 36
58.53, 33
59.87, 28
45.67, 28
47.13, 22
41.76, 21

=====

[4]
Computed X-ray diffraction stick pattern
Compound: Sm4DyY3
Radiation: Cu Kα (weighted mean of Kα1 and Kα2)
Structure: a DFT-relaxed cell (GGA-PBE, Alexandria)

Structure:
```
Sm4DyY3
1.0
11.482 0.000 0.000
0.000 7.335 0.000
0.000 0.000 6.337
Sm Dy Y
8 2 6
Cartesian
0.000 0.923 0.000
0.000 6.412 3.168
2.866 0.923 2.097
2.875 6.411 5.266
5.741 0.923 6.337
5.741 6.412 3.169
8.616 0.923 2.097
8.607 6.411 5.266
0.000 2.755 3.151
5.741 4.580 6.320
0.000 4.570 6.318
2.873 2.761 5.272
2.868 4.574 2.103
5.741 2.765 3.150
8.609 2.761 5.272
8.614 4.574 2.103
```

Main lines, by intensity (2θ = 15–90°):
2theta, I/Imax
32.24, 100
31.16, 24
28.13, 24
59.91, 22
56.13, 20
42.47, 16
49.81, 13
60.52, 11
82.17, 9
78.29, 8

=====

[5]
Computed X-ray diffraction stick pattern
Compound: CrNiCl2
Radiation: Cu Kα (weighted mean of Kα1 and Kα2)
Structure: a DFT-relaxed cell (GGA-PBE, Alexandria)

Structure:
```
CrNiCl2
1.0
6.308 -1.680 0.000
6.308 1.680 0.000
-0.408 0.000 4.195
Cr Ni Cl
1 1 2
Cartesian
0.000 0.000 0.000
6.104 0.000 2.098
4.342 0.000 3.306
7.866 0.000 0.889
```

Main lines, by intensity (2θ = 15–90°):
2theta, I/Imax
35.39, 100
41.74, 75
48.66, 51
26.67, 30
27.49, 30
44.18, 25
39.43, 23
49.89, 21
24.35, 20
43.23, 20

=====

[6]
Computed X-ray diffraction stick pattern
Compound: KCdCuO2
Radiation: Cu Kα (weighted mean of Kα1 and Kα2)
Structure: a DFT-relaxed cell (GGA-PBE, Alexandria)

Structure:
```
KCdCuO2
1.0
3.273 -6.211 0.000
3.273 6.211 0.000
0.000 0.000 4.525
K Cd Cu O
2 2 2 4
Cartesian
3.273 3.106 3.444
3.273 -3.106 1.081
1.637 0.000 2.263
4.910 0.000 2.263
0.000 0.000 0.000
3.273 0.000 0.000
3.273 4.903 1.287
3.273 1.308 1.287
3.273 -1.308 3.238
3.273 -4.903 3.238
```

Main lines, by intensity (2θ = 15–90°):
2theta, I/Imax
36.85, 100
44.95, 64
33.80, 64
28.75, 57
42.52, 48
56.38, 29
32.34, 23
60.63, 19
49.87, 18
72.95, 18

=====

[7]
Computed X-ray diffraction stick pattern
Compound: Pr5Nd2Ho
Radiation: Cu Kα (weighted mean of Kα1 and Kα2)
Structure: a DFT-relaxed cell (GGA-PBE, Alexandria)

Structure:
```
Pr5Nd2Ho
1.0
7.351 0.000 0.000
0.000 14.748 0.000
0.000 0.000 5.209
Pr Nd Ho
10 4 2
Cartesian
0.000 0.000 0.000
7.348 3.714 0.000
0.003 11.034 0.000
1.827 5.549 2.604
1.849 12.923 2.604
3.672 3.660 0.000
3.676 7.374 0.000
3.679 11.088 0.000
5.503 1.825 2.604
5.524 9.199 2.604
1.834 9.196 2.604
1.842 1.822 2.604
5.510 12.926 2.604
5.518 5.552 2.604
0.000 7.374 0.000
3.676 0.000 0.000
```

Main lines, by intensity (2θ = 15–90°):
2theta, I/Imax
29.72, 100
34.45, 51
49.49, 30
58.79, 29
58.88, 14
80.31, 9
82.87, 8
61.64, 6
61.78, 6
49.60, 6

=====

[8]
Computed X-ray diffraction stick pattern
Compound: TaSe3O9
Radiation: Cu Kα (weighted mean of Kα1 and Kα2)
Structure: a DFT-relaxed cell (GGA-PBE, Alexandria)

Structure:
```
TaSe3O9
1.0
7.634 -3.492 0.000
7.634 3.492 0.000
-5.929 0.000 8.508
Ta Se O
2 6 18
Cartesian
4.670 1.789 4.254
7.634 -1.789 0.000
4.016 2.517 7.607
5.183 0.669 0.995
2.218 -0.669 5.249
9.699 0.024 2.364
6.735 -0.024 6.618
6.980 -2.517 3.353
3.194 2.310 3.087
-4.961 0.075 8.025
5.187 2.234 0.504
-1.996 -0.075 3.771
3.802 2.584 5.849
-2.271 0.031 7.737
0.693 -0.031 3.483
5.519 0.676 2.735
3.696 0.020 4.673
6.660 -0.020 0.419
6.162 1.116 5.306
2.554 -0.676 6.989
10.635 1.088 1.548
0.229 -2.310 7.341
2.223 -2.234 4.757
9.127 -1.116 1.053
6.767 -2.584 1.595
7.671 -1.088 5.801
```

Main lines, by intensity (2θ = 15–90°):
2theta, I/Imax
21.67, 100
15.34, 76
21.89, 43
31.46, 42
29.02, 31
30.85, 30
24.84, 30
29.28, 24
34.90, 18
33.19, 18

=====

Please write out number 3 again, unchanged.
Computed X-ray diffraction stick pattern
Compound: Ho2Be3Cu17
Radiation: Cu Kα (weighted mean of Kα1 and Kα2)
Structure: a DFT-relaxed cell (GGA-PBE, Alexandria)

Structure:
```
Ho2Be3Cu17
1.0
4.492 2.593 4.256
-4.492 2.593 4.256
0.000 -5.187 4.256
Ho Be Cu
2 3 17
Cartesian
0.000 0.000 2.175
0.000 0.000 10.594
-4.492 0.000 6.385
-2.246 1.297 2.128
2.246 1.297 2.128
-2.246 -1.297 4.256
0.000 -2.612 4.241
-2.262 1.306 4.241
-1.214 -2.103 6.385
-2.428 0.000 6.385
-2.262 -1.306 8.528
0.000 0.000 5.144
-2.246 1.297 8.513
1.214 -2.103 6.385
0.000 2.593 4.256
-1.214 2.103 6.385
0.000 0.000 7.625
2.262 1.306 4.241
2.428 0.000 6.385
1.214 2.103 6.385
2.262 -1.306 8.528
0.000 2.612 8.528
```

Main lines, by intensity (2θ = 15–90°):
2theta, I/Imax
40.74, 100
40.15, 89
28.90, 48
42.48, 45
34.59, 36
58.53, 33
59.87, 28
45.67, 28
47.13, 22
41.76, 21